# 1
Diffraction record for Gd2C. The powder diffractogram is computed, not measured: it uses the GGA-PBE geometry in the Materials Project and Cu Kα (λ = 1.5418 Å).

The 6 most intense peaks (10° ≤ 2θ ≤ 80°), in order of rising 2θ:
2θ (°), intensity
29.12, 31
29.92, 100
34.45, 76
48.99, 23
50.03, 28
58.93, 26

abc: 3.6463 3.6463 18.4009
angles: 90.00 90.00 120.00
Space group R-3m (No. 166, hexagonal axes)
One atom of each set of equivalent atoms:
Gd 0.0000 0.0000 0.2401 [6 per cell]
C 0.0000 0.0000 0.5000 [3 per cell]

***

# 2
Diffraction record for Zr6FeCl14. The powder diffractogram is computed, not measured: it uses the GGA-PBE geometry in the Materials Project and Cu Kα (λ = 1.5418 Å).

The 6 most intense peaks (10° ≤ 2θ ≤ 80°), in order of rising 2θ:
2θ (°), intensity
11.64, 100
24.40, 11
31.60, 11
35.26, 11
35.85, 24
48.24, 12

abc: 14.699 13.191 12.012
angles: 90.00 90.00 90.00
Space group Cmce (No. 64)
One atom of each set of equivalent atoms:
Zr 0.000 0.152 0.111 [8 per cell]
Zr 0.120 0.072 0.881 [16 per cell]
Fe 0.000 0.000 0.000 [4 per cell]
Cl 0.000 0.156 0.744 [8 per cell]
Cl 0.122 0.085 0.245 [16 per cell]
Cl 0.122 0.239 0.992 [16 per cell]
Cl 0.248 0.000 0.000 [8 per cell]
Cl 0.250 0.149 0.750 [8 per cell]

***

# 3
Diffraction record for Ta2N. The powder diffractogram is computed, not measured: it uses the GGA-PBE geometry in the Materials Project and Cu Kα (λ = 1.5418 Å).

The 6 most intense peaks (10° ≤ 2θ ≤ 80°), in order of rising 2θ:
2θ (°), intensity
33.70, 20
36.18, 24
38.40, 100
60.28, 19
66.54, 20
72.36, 20

abc: 5.3185 5.3185 4.9661
angles: 90.00 90.00 120.00
Space group P-31m (No. 162)
One atom of each set of equivalent atoms:
Ta 0.0000 0.3334 0.2534 [6 per cell]
N 0.0000 0.0000 0.5000 [1 per cell]
N 0.3333 0.6667 0.0000 [2 per cell]